Structure and theoretical X-ray diffraction stick pattern of Sm3DyBi3 (a crystal structure in Alexandria, relaxed with PBE; Cu Kα (weighted mean of Kα1 and Kα2)).
Lines closer than 0.1° are merged.

Top 10 peaks for 2θ from 5° to 70°, by angle:
22.85 deg, intensity 111, (2 1 1); 29.63 deg, intensity 1000, (3 0 1); 35.22 deg, intensity 656, (3 1 2); 42.40 deg, intensity 191, (4 2 0); 44.57 deg, intensity 135, (3 3 2); 46.67 deg, intensity 132, (4 2 2); 48.69 deg, intensity 196, (4 3 1); 59.79 deg, intensity 303, (6 1 1); 61.51 deg, intensity 112, (6 0 2); 63.20 deg, intensity 147, (5 4 1)

```
data_Sm3DyBi3
_chemical_formula_sum 'Sm12 Dy4 Bi12'
_space_group_name_H-M_alt 'P 21 3'
_space_group_IT_number 198
_space_group_name_Hall 'P 2ac 2ab 3'
_cell_length_a 9.535
_cell_length_b 9.535
_cell_length_c 9.535
_cell_angle_alpha 90.00
_cell_angle_beta 90.00
_cell_angle_gamma 90.00
loop_
_atom_site_label
_atom_site_type_symbol
_atom_site_fract_x
_atom_site_fract_y
_atom_site_fract_z
_atom_site_occupancy
Sm1 Sm 0.069 0.431 0.569 1
Sm2 Sm 0.177 0.823 0.323 1
Sm3 Sm 0.178 0.178 0.178 1
Dy1 Dy 0.073 0.573 0.927 1
Bi1 Bi 0.001 0.254 0.873 1
```

---

Structure and theoretical X-ray diffraction stick pattern of Ba4TmZr3O12 (a crystal structure in Alexandria, relaxed with PBE; Cu Kα (weighted mean of Kα1 and Kα2)).
Lines closer than 0.1° are merged.

Top 10 peaks for 2θ from 5° to 70°, by angle:
14.60 deg, intensity 30, (1 1 0); 25.43 deg, intensity 17, (2 1 1); 29.44 deg, intensity 1000, (2 2 0); 33.01 deg, intensity 11, (3 1 0); 36.26 deg, intensity 36, (2 2 2); 39.28 deg, intensity 14, (3 2 1); 42.12 deg, intensity 308, (4 0 0); 52.22 deg, intensity 406, (4 2 2); 61.09 deg, intensity 193, (4 4 0); 69.25 deg, intensity 177, (6 2 0)

```
data_Ba4TmZr3O12
_chemical_formula_sum 'Ba8 Tm2 Zr6 O24'
_space_group_name_H-M_alt 'I m -3 m'
_space_group_IT_number 229
_space_group_name_Hall '-I 4 2 3'
_cell_length_a 8.581
_cell_length_b 8.581
_cell_length_c 8.581
_cell_angle_alpha 90.00
_cell_angle_beta 90.00
_cell_angle_gamma 90.00
loop_
_atom_site_label
_atom_site_type_symbol
_atom_site_fract_x
_atom_site_fract_y
_atom_site_fract_z
_atom_site_occupancy
Ba1 Ba 0.250 0.250 0.250 1
Tm1 Tm 0.000 0.000 0.000 1
Zr1 Zr 0.000 0.000 0.500 1
O1 O 0.000 0.000 0.257 1
O2 O 0.000 0.250 0.500 1
```

---

Structure and theoretical X-ray diffraction stick pattern of Sm8Ge4Te3 (a crystal structure in Alexandria, relaxed with PBE; Cu Kα (weighted mean of Kα1 and Kα2)).
Lines closer than 0.1° are merged.

Top 10 peaks for 2θ from 5° to 70°, by angle:
12.51 deg, intensity 54, (1 1 0); 25.17 deg, intensity 144, (2 2 -2); 29.14 deg, intensity 1000, (0 4 0); 41.67 deg, intensity 613, (4 4 -2); 41.78 deg, intensity 128, (4 0 -4); 51.62 deg, intensity 124, (4 4 0); 51.72 deg, intensity 134, (4 4 -4); 60.38 deg, intensity 79, (0 8 0); 68.42 deg, intensity 207, (4 8 -2); 68.55 deg, intensity 81, (4 0 -6)

```
data_Sm8Ge4Te3
_chemical_formula_sum 'Sm16 Ge8 Te6'
_space_group_name_H-M_alt 'C 1 2/m 1'
_space_group_IT_number 12
_space_group_name_Hall '-C 2y'
_cell_length_a 12.241
_cell_length_b 12.272
_cell_length_c 8.648
_cell_angle_alpha 90.00
_cell_angle_beta 134.88
_cell_angle_gamma 90.00
loop_
_atom_site_label
_atom_site_type_symbol
_atom_site_fract_x
_atom_site_fract_y
_atom_site_fract_z
_atom_site_occupancy
Sm1 Sm 0.000 0.238 0.000 1
Sm2 Sm 0.000 0.241 0.500 1
Sm3 Sm 0.225 0.000 0.472 1
Sm4 Sm 0.235 0.000 0.985 1
Ge1 Ge 0.000 0.000 0.000 1
Ge2 Ge 0.000 0.000 0.500 1
Ge3 Ge 0.250 0.250 0.000 1
Te1 Te 0.000 0.500 0.500 1
Te2 Te 0.250 0.250 0.500 1
```

---

Structure and theoretical X-ray diffraction stick pattern of Pm7DySn4 (a crystal structure in Alexandria, relaxed with PBE; Cu Kα (weighted mean of Kα1 and Kα2)).
Lines closer than 0.1° are merged.

Top 10 peaks for 2θ from 5° to 70°, by angle:
27.81 deg, intensity 677, (4 0 -3); 29.21 deg, intensity 734, (1 1 2); 30.60 deg, intensity 1000, (0 2 0); 33.11 deg, intensity 285, (2 0 -4); 33.56 deg, intensity 713, (3 1 1); 35.97 deg, intensity 301, (5 1 -3); 37.26 deg, intensity 365, (5 1 -1); 38.95 deg, intensity 234, (1 1 -4); 41.82 deg, intensity 455, (4 2 -3); 45.70 deg, intensity 259, (2 2 -4)

```
data_Pm7DySn4
_chemical_formula_sum 'Pm14 Dy2 Sn8'
_space_group_name_H-M_alt 'C 1 2/m 1'
_space_group_IT_number 12
_space_group_name_Hall '-C 2y'
_cell_length_a 14.198
_cell_length_b 5.843
_cell_length_c 11.085
_cell_angle_alpha 90.00
_cell_angle_beta 124.92
_cell_angle_gamma 90.00
loop_
_atom_site_label
_atom_site_type_symbol
_atom_site_fract_x
_atom_site_fract_y
_atom_site_fract_z
_atom_site_occupancy
Pm1 Pm 0.000 0.000 0.000 1
Pm2 Pm 0.059 0.500 0.372 1
Pm3 Pm 0.188 0.000 0.616 1
Pm4 Pm 0.209 0.500 0.888 1
Dy1 Dy 0.000 0.500 0.000 1
Sn1 Sn 0.064 0.000 0.764 1
Sn2 Sn 0.197 0.000 0.328 1
```

---

Structure and theoretical X-ray diffraction stick pattern of SrCaGdNbO6 (a crystal structure in Alexandria, relaxed with PBE; Cu Kα (weighted mean of Kα1 and Kα2)).
Lines closer than 0.1° are merged.

Top 10 peaks for 2θ from 5° to 70°, by angle:
18.46 deg, intensity 116, (1 0 1); 20.85 deg, intensity 135, (0 0 2); 21.59 deg, intensity 206, (1 1 0); 30.19 deg, intensity 1000, (1 1 2); 30.72 deg, intensity 606, (2 0 0); 42.42 deg, intensity 193, (0 0 4); 44.00 deg, intensity 292, (2 2 0); 53.28 deg, intensity 252, (2 0 4); 54.29 deg, intensity 474, (3 1 2); 62.77 deg, intensity 189, (2 2 4)

```
data_SrCaGdNbO6
_chemical_formula_sum 'Sr2 Ca2 Gd2 Nb2 O12'
_space_group_name_H-M_alt 'P -4 n 2'
_space_group_IT_number 118
_space_group_name_Hall 'P -4 -2n'
_cell_length_a 5.821
_cell_length_b 5.821
_cell_length_c 8.523
_cell_angle_alpha 90.00
_cell_angle_beta 90.00
_cell_angle_gamma 90.00
loop_
_atom_site_label
_atom_site_type_symbol
_atom_site_fract_x
_atom_site_fract_y
_atom_site_fract_z
_atom_site_occupancy
Sr1 Sr 0.000 0.500 0.250 1
Ca1 Ca 0.000 0.500 0.750 1
Gd1 Gd 0.000 0.000 0.500 1
Nb1 Nb 0.000 0.000 0.000 1
O1 O 0.000 0.000 0.237 1
O2 O 0.158 0.308 0.986 1
```

---

Structure and theoretical X-ray diffraction stick pattern of Sc4GaSiC (a crystal structure in Alexandria, relaxed with PBE; Cu Kα (weighted mean of Kα1 and Kα2)).
Lines closer than 0.1° are merged.

Top 10 peaks for 2θ from 5° to 70°, by angle:
12.56 deg, intensity 187, (0 2 0); 28.88 deg, intensity 290, (2 0 0); 31.60 deg, intensity 660, (2 2 0); 37.98 deg, intensity 190, (1 5 1); 38.32 deg, intensity 270, (0 6 0); 38.75 deg, intensity 1000, (2 4 0); 41.30 deg, intensity 691, (2 0 2); 57.60 deg, intensity 293, (2 6 2); 59.80 deg, intensity 109, (4 0 0); 69.25 deg, intensity 116, (4 2 2)

```
data_Sc4GaSiC
_chemical_formula_sum 'Sc16 Ga4 Si4 C4'
_space_group_name_H-M_alt 'C m c m'
_space_group_IT_number 63
_space_group_name_Hall '-C 2c 2'
_cell_length_a 6.186
_cell_length_b 14.095
_cell_length_c 6.180
_cell_angle_alpha 90.00
_cell_angle_beta 90.00
_cell_angle_gamma 90.00
loop_
_atom_site_label
_atom_site_type_symbol
_atom_site_fract_x
_atom_site_fract_y
_atom_site_fract_z
_atom_site_occupancy
Sc1 Sc 0.000 0.083 0.250 1
Sc2 Sc 0.000 0.414 0.250 1
Sc3 Sc 0.250 0.250 0.000 1
Ga1 Ga 0.000 0.387 0.750 1
Si1 Si 0.000 0.116 0.750 1
C1 C 0.000 0.249 0.250 1
```

---

Structure and theoretical X-ray diffraction stick pattern of NdCu5Pd (a crystal structure in Alexandria, relaxed with PBE; Cu Kα (weighted mean of Kα1 and Kα2)).
Lines closer than 0.1° are merged.

Top 10 peaks for 2θ from 5° to 70°, by angle:
31.48 deg, intensity 314, (0 1 3); 35.53 deg, intensity 417, (0 2 0); 36.53 deg, intensity 512, (1 0 4); 38.38 deg, intensity 1000, (3 1 1); 38.51 deg, intensity 812, (2 1 3); 41.35 deg, intensity 332, (3 1 2); 42.92 deg, intensity 370, (2 2 1); 45.23 deg, intensity 474, (2 1 4); 45.92 deg, intensity 502, (1 2 3); 66.86 deg, intensity 271, (4 1 5)

```
data_NdCu5Pd
_chemical_formula_sum 'Nd4 Cu20 Pd4'
_space_group_name_H-M_alt 'P n m a'
_space_group_IT_number 62
_space_group_name_Hall '-P 2ac 2n'
_cell_length_a 8.220
_cell_length_b 5.054
_cell_length_c 10.312
_cell_angle_alpha 90.00
_cell_angle_beta 90.00
_cell_angle_gamma 90.00
loop_
_atom_site_label
_atom_site_type_symbol
_atom_site_fract_x
_atom_site_fract_y
_atom_site_fract_z
_atom_site_occupancy
Nd1 Nd 0.240 0.250 0.065 1
Cu1 Cu 0.056 0.750 0.103 1
Cu2 Cu 0.066 0.003 0.312 1
Cu3 Cu 0.094 0.250 0.517 1
Cu4 Cu 0.186 0.250 0.750 1
Pd1 Pd 0.142 0.750 0.859 1
```

---

Structure and theoretical X-ray diffraction stick pattern of Tm4IrOs (a crystal structure in Alexandria, relaxed with PBE; Cu Kα (weighted mean of Kα1 and Kα2)).
Lines closer than 0.1° are merged.

Top 10 peaks for 2θ from 5° to 70°, by angle:
13.94 deg, intensity 448, (0 2 0); 16.03 deg, intensity 324, (1 1 -1); 31.22 deg, intensity 819, (3 1 -1); 33.10 deg, intensity 740, (0 4 1); 34.69 deg, intensity 345, (0 0 2); 34.96 deg, intensity 451, (2 4 -1); 36.51 deg, intensity 624, (1 3 -2); 37.50 deg, intensity 769, (0 2 2); 39.82 deg, intensity 1000, (2 2 1); 42.61 deg, intensity 597, (3 3 0)

```
data_Tm4IrOs
_chemical_formula_sum 'Tm16 Ir4 Os4'
_space_group_name_H-M_alt 'C 1 2/c 1'
_space_group_IT_number 15
_space_group_name_Hall '-C 2yc'
_cell_length_a 8.867
_cell_length_b 12.702
_cell_length_c 6.234
_cell_angle_alpha 90.00
_cell_angle_beta 123.93
_cell_angle_gamma 90.00
loop_
_atom_site_label
_atom_site_type_symbol
_atom_site_fract_x
_atom_site_fract_y
_atom_site_fract_z
_atom_site_occupancy
Tm1 Tm 0.128 0.176 0.093 1
Tm2 Tm 0.196 0.439 0.264 1
Ir1 Ir 0.000 0.364 0.750 1
Os1 Os 0.000 0.001 0.250 1
```

---

Structure and theoretical X-ray diffraction stick pattern of ErTl2Pb2 (a crystal structure in Alexandria, relaxed with PBE; Cu Kα (weighted mean of Kα1 and Kα2)).
Lines closer than 0.1° are merged.

Top 10 peaks for 2θ from 5° to 70°, by angle:
31.92 deg, intensity 1000, (1 5 1); 33.06 deg, intensity 225, (0 10 0); 38.81 deg, intensity 150, (0 0 2); 38.93 deg, intensity 148, (2 0 0); 51.93 deg, intensity 257, (2 10 0); 56.14 deg, intensity 104, (2 0 2); 58.33 deg, intensity 178, (1 15 1); 65.96 deg, intensity 129, (1 5 3); 66.13 deg, intensity 128, (3 5 1); 66.72 deg, intensity 123, (2 10 2)

```
data_ErTl2Pb2
_chemical_formula_sum 'Er4 Tl8 Pb8'
_space_group_name_H-M_alt 'C m c m'
_space_group_IT_number 63
_space_group_name_Hall '-C 2c 2'
_cell_length_a 4.627
_cell_length_b 27.094
_cell_length_c 4.641
_cell_angle_alpha 90.00
_cell_angle_beta 90.00
_cell_angle_gamma 90.00
loop_
_atom_site_label
_atom_site_type_symbol
_atom_site_fract_x
_atom_site_fract_y
_atom_site_fract_z
_atom_site_occupancy
Er1 Er 0.000 0.153 0.250 1
Tl1 Tl 0.000 0.051 0.750 1
Tl2 Tl 0.000 0.448 0.750 1
Pb1 Pb 0.000 0.251 0.750 1
Pb2 Pb 0.000 0.354 0.250 1
```

---

Structure and theoretical X-ray diffraction stick pattern of TbNi6P4 (a crystal structure in Alexandria, relaxed with PBE; Cu Kα (weighted mean of Kα1 and Kα2)).
Lines closer than 0.1° are merged.

Top 10 peaks for 2θ from 5° to 70°, by angle:
29.14 deg, intensity 188, (1 0 1); 31.26 deg, intensity 164, (2 0 0); 36.79 deg, intensity 309, (1 1 1); 40.13 deg, intensity 1000, (2 0 1); 41.76 deg, intensity 337, (2 1 0); 49.03 deg, intensity 120, (2 1 1); 50.29 deg, intensity 201, (0 0 2); 55.64 deg, intensity 190, (2 2 0); 64.03 deg, intensity 139, (3 1 1); 67.37 deg, intensity 157, (2 1 2)

```
data_TbNi6P4
_chemical_formula_sum 'Tb1 Ni6 P4'
_space_group_name_H-M_alt 'P -6 m 2'
_space_group_IT_number 187
_space_group_name_Hall 'P -6 2'
_cell_length_a 6.6076
_cell_length_b 6.6076
_cell_length_c 3.6288
_cell_angle_alpha 90.00
_cell_angle_beta 90.00
_cell_angle_gamma 120.00
loop_
_atom_site_label
_atom_site_type_symbol
_atom_site_fract_x
_atom_site_fract_y
_atom_site_fract_z
_atom_site_occupancy
Tb1 Tb 0.0000 0.0000 0.0000 1
Ni1 Ni 0.2029 0.4057 0.5000 1
Ni2 Ni 0.5364 0.0728 0.0000 1
P1 P 0.3333 0.6667 0.0000 1
P2 P 0.3798 0.1899 0.5000 1
```

---

Structure and theoretical X-ray diffraction stick pattern of RbSr4I8 (a crystal structure in Alexandria, relaxed with PBE; Cu Kα (weighted mean of Kα1 and Kα2)).
Lines closer than 0.1° are merged.

Top 10 peaks for 2θ from 5° to 70°, by angle:
10.77 deg, intensity 440, (1 1 1); 20.70 deg, intensity 180, (3 1 1); 21.63 deg, intensity 489, (2 2 2); 25.03 deg, intensity 1000, (4 0 0); 32.70 deg, intensity 439, (5 1 1); 35.69 deg, intensity 930, (4 4 0); 44.09 deg, intensity 228, (4 4 4); 57.96 deg, intensity 232, (8 4 0); 64.12 deg, intensity 220, (8 4 4); 68.16 deg, intensity 207, (9 5 1)

```
data_RbSr4I8
_chemical_formula_sum 'Rb4 Sr16 I32'
_space_group_name_H-M_alt 'F -4 3 m'
_space_group_IT_number 216
_space_group_name_Hall 'F -4 2 3'
_cell_length_a 14.231
_cell_length_b 14.231
_cell_length_c 14.231
_cell_angle_alpha 90.00
_cell_angle_beta 90.00
_cell_angle_gamma 90.00
loop_
_atom_site_label
_atom_site_type_symbol
_atom_site_fract_x
_atom_site_fract_y
_atom_site_fract_z
_atom_site_occupancy
Rb1 Rb 0.000 0.000 0.000 1
Sr1 Sr 0.121 0.121 0.379 1
I1 I 0.113 0.113 0.613 1
I2 I 0.143 0.143 0.143 1
```